No. 1
Structure and computed PXRD pattern of YTh4Os4 (a crystal structure in Alexandria, relaxed with GGA-PBE; Cu Kα X-rays).

Most intense lines, 2θ from 5° to 70°, by angle:
13.84 deg, I = 23
19.63 deg, I = 15
31.27 deg, I = 100
33.08 deg, I = 40
38.75 deg, I = 27
43.80 deg, I = 21
44.80 deg, I = 34
44.99 deg, I = 15
48.42 deg, I = 28
52.73 deg, I = 16

Crystal structure
a b c (Å): 9.047 9.047 5.677
angles (deg): 90.00 90.00 90.00
Sites, in units of the cell vectors:
Y1 0.250 0.250 0.250
Y2 0.750 0.750 0.750
Th1 0.063 0.664 0.164
Th2 0.164 0.937 0.664
Th3 0.336 0.563 0.664
Th4 0.437 0.836 0.164
Th5 0.563 0.164 0.836
Th6 0.664 0.437 0.336
Th7 0.836 0.063 0.336
Th8 0.937 0.336 0.836
Os1 0.033 0.623 0.655
Os2 0.123 0.967 0.155
Os3 0.377 0.533 0.155
Os4 0.467 0.877 0.655
Os5 0.533 0.123 0.345
Os6 0.623 0.467 0.845
Os7 0.877 0.033 0.845
Os8 0.967 0.377 0.345

No. 2
Structure and computed PXRD pattern of Tm3Sn2Pd (a crystal structure in Alexandria, relaxed with GGA-PBE; Cu Kα X-rays).

Most intense lines, 2θ from 5° to 70°, by angle:
27.31 deg, I = 22
29.41 deg, I = 45
30.94 deg, I = 84
32.52 deg, I = 24
33.89 deg, I = 100
36.88 deg, I = 53
38.36 deg, I = 43
40.08 deg, I = 58
40.56 deg, I = 29
62.68 deg, I = 26

Crystal structure
a b c (Å): 11.999 4.499 11.314
angles (deg): 90.00 90.00 90.00
Sites, in units of the cell vectors:
Tm1 0.052 0.250 0.129
Tm2 0.127 0.750 0.558
Tm3 0.233 0.250 0.798
Tm4 0.267 0.750 0.298
Tm5 0.373 0.250 0.058
Tm6 0.448 0.750 0.629
Tm7 0.552 0.250 0.371
Tm8 0.627 0.750 0.942
Tm9 0.733 0.250 0.702
Tm10 0.767 0.750 0.202
Tm11 0.873 0.250 0.442
Tm12 0.948 0.750 0.871
Sn1 0.000 0.250 0.690
Sn2 0.000 0.750 0.310
Sn3 0.185 0.750 0.006
Sn4 0.315 0.250 0.506
Sn5 0.500 0.250 0.810
Sn6 0.500 0.750 0.190
Sn7 0.685 0.750 0.494
Sn8 0.815 0.250 0.994
Pd1 0.123 0.250 0.374
Pd2 0.377 0.750 0.874
Pd3 0.623 0.250 0.126
Pd4 0.877 0.750 0.626

No. 3
Structure and computed PXRD pattern of NaCa4I8 (a crystal structure in Alexandria, relaxed with GGA-PBE; Cu Kα X-rays).

Most intense lines, 2θ from 5° to 70°, by angle:
11.74 deg, I = 14
23.60 deg, I = 100
27.32 deg, I = 99
35.73 deg, I = 10
39.02 deg, I = 79
46.11 deg, I = 46
48.29 deg, I = 25
56.37 deg, I = 12
61.95 deg, I = 18
63.75 deg, I = 30

Crystal structure
a b c (Å): 9.234 9.234 9.234
angles (deg): 60.00 60.00 60.00
Sites, in units of the cell vectors:
Na1 0.000 0.000 0.000
Ca1 0.381 0.381 0.381
Ca2 0.381 0.381 0.858
Ca3 0.381 0.858 0.381
Ca4 0.858 0.381 0.381
I1 0.135 0.135 0.135
I2 0.135 0.135 0.596
I3 0.135 0.596 0.135
I4 0.136 0.621 0.621
I5 0.596 0.135 0.135
I6 0.621 0.136 0.621
I7 0.621 0.621 0.136
I8 0.621 0.621 0.621

No. 4
Structure and computed PXRD pattern of La5Ho6 (a crystal structure in Alexandria, relaxed with GGA-PBE; Cu Kα X-rays).

Most intense lines, 2θ from 5° to 70°, by angle:
28.30 deg, I = 68
29.90 deg, I = 100
30.25 deg, I = 84
31.63 deg, I = 76
34.12 deg, I = 79
34.27 deg, I = 60
36.05 deg, I = 27
57.60 deg, I = 35
61.90 deg, I = 22
63.48 deg, I = 23

Crystal structure
a b c (Å): 8.125 8.125 6.501
angles (deg): 99.89 99.89 111.73
Sites, in units of the cell vectors:
La1 0.000 0.000 0.000
La2 0.132 0.868 0.500
La3 0.262 0.738 0.000
La4 0.738 0.262 0.000
La5 0.868 0.132 0.500
Ho1 0.202 0.451 0.324
Ho2 0.341 0.341 0.804
Ho3 0.451 0.202 0.324
Ho4 0.549 0.798 0.676
Ho5 0.659 0.659 0.196
Ho6 0.798 0.549 0.676

No. 5
Structure and computed PXRD pattern of KNa2In2 (a crystal structure in Alexandria, relaxed with GGA-PBE; Cu Kα X-rays).

Most intense lines, 2θ from 5° to 70°, by angle:
14.57 deg, I = 45
19.65 deg, I = 18
21.40 deg, I = 36
31.12 deg, I = 100
33.29 deg, I = 86
36.50 deg, I = 30
44.21 deg, I = 12
46.25 deg, I = 21
53.97 deg, I = 18
58.13 deg, I = 31

Crystal structure
a b c (Å): 9.334 5.378 6.835
angles (deg): 90.00 117.16 90.00
Sites, in units of the cell vectors:
K1 0.000 0.000 0.000
K2 0.500 0.500 0.000
Na1 0.087 0.500 0.760
Na2 0.413 0.000 0.240
Na3 0.587 0.000 0.760
Na4 0.913 0.500 0.240
In1 0.198 0.000 0.592
In2 0.302 0.500 0.408
In3 0.698 0.500 0.592
In4 0.802 0.000 0.408

No. 6
Structure and computed PXRD pattern of KYCdF6 (a crystal structure in Alexandria, relaxed with GGA-PBE; Cu Kα X-rays).

Most intense lines, 2θ from 5° to 70°, by angle:
12.94 deg, I = 100
13.35 deg, I = 31
24.80 deg, I = 22
25.20 deg, I = 42
25.84 deg, I = 36
26.05 deg, I = 32
26.88 deg, I = 54
39.52 deg, I = 17
43.65 deg, I = 27
51.73 deg, I = 18

Crystal structure
a b c (Å): 8.302 8.302 8.302
angles (deg): 122.52 119.60 88.19
Sites, in units of the cell vectors:
K1 0.286 0.036 0.250
K2 0.714 0.964 0.750
Y1 0.000 0.500 0.500
Y2 0.500 0.500 0.000
Cd1 0.000 0.000 0.500
Cd2 0.000 0.500 0.000
F1 0.054 0.410 0.235
F2 0.054 0.818 0.643
F3 0.075 0.825 0.250
F4 0.312 0.562 0.750
F5 0.325 0.182 0.735
F6 0.325 0.590 0.143
F7 0.675 0.410 0.857
F8 0.675 0.818 0.265
F9 0.688 0.438 0.250
F10 0.925 0.175 0.750
F11 0.946 0.182 0.357
F12 0.946 0.590 0.765

No. 7
Structure and computed PXRD pattern of ScOsC2 (a crystal structure in Alexandria, relaxed with GGA-PBE; Cu Kα X-rays).

Most intense lines, 2θ from 5° to 70°, by angle:
20.64 deg, I = 58
32.12 deg, I = 100
33.17 deg, I = 16
36.64 deg, I = 14
37.56 deg, I = 28
43.23 deg, I = 16
53.48 deg, I = 26
54.16 deg, I = 12
63.15 deg, I = 14
64.38 deg, I = 32

Crystal structure
a b c (Å): 4.790 4.790 9.810
angles (deg): 90.00 90.00 90.00
Sites, in units of the cell vectors:
Sc1 0.000 0.000 0.000
Sc2 0.000 0.500 0.250
Sc3 0.500 0.000 0.750
Sc4 0.500 0.500 0.500
Os1 0.000 0.000 0.500
Os2 0.000 0.500 0.750
Os3 0.500 0.000 0.250
Os4 0.500 0.500 0.000
C1 0.194 0.250 0.625
C2 0.250 0.694 0.875
C3 0.250 0.806 0.375
C4 0.306 0.250 0.125
C5 0.694 0.750 0.125
C6 0.750 0.194 0.375
C7 0.750 0.306 0.875
C8 0.806 0.750 0.625

No. 8
Structure and computed PXRD pattern of Rb3Ce3TiSe8 (a crystal structure in Alexandria, relaxed with GGA-PBE; Cu Kα X-rays).

Most intense lines, 2θ from 5° to 70°, by angle:
10.85 deg, I = 39
14.12 deg, I = 9
28.47 deg, I = 100
35.56 deg, I = 16
38.40 deg, I = 30
42.89 deg, I = 35
44.40 deg, I = 10
47.89 deg, I = 10
52.29 deg, I = 17
69.86 deg, I = 14

Crystal structure
a b c (Å): 9.497 9.497 9.497
angles (deg): 52.72 52.72 52.72
Sites, in units of the cell vectors:
Rb1 0.000 0.500 0.500
Rb2 0.500 0.000 0.500
Rb3 0.500 0.500 0.000
Ce1 0.000 0.000 0.500
Ce2 0.000 0.500 0.000
Ce3 0.500 0.000 0.000
Ti1 0.500 0.500 0.500
Se1 0.234 0.234 0.234
Se2 0.255 0.715 0.715
Se3 0.285 0.285 0.745
Se4 0.285 0.745 0.285
Se5 0.715 0.255 0.715
Se6 0.715 0.715 0.255
Se7 0.745 0.285 0.285
Se8 0.766 0.766 0.766

No. 9
Structure and computed PXRD pattern of Dy2MgAu3 (a crystal structure in Alexandria, relaxed with GGA-PBE; Cu Kα X-rays).

Most intense lines, 2θ from 5° to 70°, by angle:
21.84 deg, I = 9
25.32 deg, I = 18
36.02 deg, I = 100
36.20 deg, I = 96
42.57 deg, I = 5
44.54 deg, I = 4
51.99 deg, I = 34
64.75 deg, I = 18
64.87 deg, I = 35
65.22 deg, I = 18

Crystal structure
a b c (Å): 4.987 4.987 12.128
angles (deg): 90.00 90.00 120.00
Sites, in units of the cell vectors:
Dy1 0.000 0.000 0.000
Dy2 0.000 0.000 0.500
Dy3 0.333 0.667 0.180
Dy4 0.667 0.333 0.820
Mg1 0.333 0.667 0.665
Mg2 0.667 0.333 0.335
Au1 0.000 0.000 0.251
Au2 0.000 0.000 0.749
Au3 0.333 0.667 0.425
Au4 0.333 0.667 0.920
Au5 0.667 0.333 0.080
Au6 0.667 0.333 0.575

No. 10
Structure and computed PXRD pattern of SmPuCO (a crystal structure in Alexandria, relaxed with GGA-PBE; Cu Kα X-rays).

Most intense lines, 2θ from 5° to 70°, by angle:
17.34 deg, I = 4
25.30 deg, I = 5
30.84 deg, I = 100
35.09 deg, I = 24
36.09 deg, I = 44
51.22 deg, I = 33
51.96 deg, I = 16
60.33 deg, I = 16
61.65 deg, I = 30
64.25 deg, I = 16

Crystal structure
a b c (Å): 3.520 3.520 5.114
angles (deg): 90.00 90.00 90.00
Sites, in units of the cell vectors:
Sm1 0.000 0.000 0.000
Pu1 0.500 0.500 0.500
C1 0.000 0.000 0.500
O1 0.500 0.500 0.000